Al5Cu24: computed powder diffraction line list (Cu Ka), based on a PBE-relaxed structure.
Lines closer than 0.1° are merged.

The 6 most intense peaks (10 to 80 degrees two-theta), in order of falling intensity:
- 2θ = 42.66°, I 100.0
- 2θ = 47.42°, I 42.7
- 2θ = 51.85°, I 30.1
- 2θ = 78.10°, I 23.3
- 2θ = 40.11°, I 12.3
- 2θ = 24.25°, I 12.2

Atomic structure:
a = 7.787 Å, b = 7.787 Å, c = 7.787 Å
α = 109.47°, β = 109.47°, γ = 109.47°
Positions (direct):
Al (0.000, 0.000, 0.000)
Al (0.000, 0.000, 0.369)
Al (0.000, 0.369, 0.000)
Al (0.369, 0.000, 0.000)
Al (0.631, 0.631, 0.631)
Cu (0.000, 0.316, 0.592)
Cu (0.000, 0.592, 0.316)
Cu (0.000, 0.625, 0.810)
Cu (0.000, 0.810, 0.625)
Cu (0.185, 0.375, 0.375)
Cu (0.190, 0.190, 0.815)
Cu (0.190, 0.815, 0.190)
Cu (0.276, 0.684, 0.684)
Cu (0.316, 0.000, 0.592)
Cu (0.316, 0.592, 0.000)
Cu (0.375, 0.185, 0.375)
Cu (0.375, 0.375, 0.185)
Cu (0.408, 0.408, 0.724)
Cu (0.408, 0.724, 0.408)
Cu (0.592, 0.000, 0.316)
Cu (0.592, 0.316, 0.000)
Cu (0.625, 0.000, 0.810)
Cu (0.625, 0.810, 0.000)
Cu (0.684, 0.276, 0.684)
Cu (0.684, 0.684, 0.276)
Cu (0.724, 0.408, 0.408)
Cu (0.810, 0.000, 0.625)
Cu (0.810, 0.625, 0.000)
Cu (0.815, 0.190, 0.190)

Al3Cu: computed powder diffraction line list (Cu Ka), based on a PBE-relaxed structure.
Lines closer than 0.1° are merged.

The 6 most intense peaks (10 to 80 degrees two-theta), in order of falling intensity:
- 2θ = 25.46°, I 100.0
- 2θ = 47.03°, I 61.0
- 2θ = 45.90°, I 52.2
- 2θ = 45.17°, I 51.9
- 2θ = 40.00°, I 50.0
- 2θ = 39.18°, I 46.6

Atomic structure:
a = 10.081 Å, b = 10.081 Å, c = 4.859 Å
α = 90.00°, β = 90.00°, γ = 90.00°
Positions (direct):
Al (0.028, 0.921, 0.249)
Al (0.079, 0.528, 0.749)
Al (0.111, 0.281, 0.028)
Al (0.143, 0.831, 0.737)
Al (0.169, 0.643, 0.237)
Al (0.219, 0.111, 0.472)
Al (0.281, 0.389, 0.472)
Al (0.331, 0.857, 0.237)
Al (0.357, 0.669, 0.737)
Al (0.389, 0.219, 0.028)
Al (0.421, 0.972, 0.749)
Al (0.472, 0.579, 0.249)
Al (0.528, 0.421, 0.751)
Al (0.579, 0.028, 0.251)
Al (0.611, 0.781, 0.972)
Al (0.643, 0.331, 0.263)
Al (0.669, 0.143, 0.763)
Al (0.719, 0.611, 0.528)
Al (0.781, 0.889, 0.528)
Al (0.831, 0.357, 0.763)
Al (0.857, 0.169, 0.263)
Al (0.889, 0.719, 0.972)
Al (0.921, 0.472, 0.251)
Al (0.972, 0.079, 0.751)
Cu (0.042, 0.296, 0.519)
Cu (0.204, 0.042, 0.981)
Cu (0.296, 0.458, 0.981)
Cu (0.458, 0.204, 0.519)
Cu (0.542, 0.796, 0.481)
Cu (0.704, 0.542, 0.019)
Cu (0.796, 0.958, 0.019)
Cu (0.958, 0.704, 0.481)

AlCu: computed powder diffraction line list (Cu Ka), based on a PBE-relaxed structure.
Lines closer than 0.1° are merged.

The 6 most intense peaks (10 to 80 degrees two-theta), in order of falling intensity:
- 2θ = 48.59°, I 100.0
- 2θ = 20.89°, I 98.0
- 2θ = 14.73°, I 78.9
- 2θ = 30.84°, I 54.9
- 2θ = 43.35°, I 53.6
- 2θ = 40.28°, I 40.5

Atomic structure:
a = 6.418 Å, b = 6.418 Å, c = 6.418 Å
α = 96.99°, β = 96.99°, γ = 139.17°
Positions (direct):
Al (0.109, 0.609, 0.717)
Al (0.391, 0.109, 0.500)
Al (0.609, 0.891, 0.500)
Al (0.891, 0.391, 0.283)
Cu (0.190, 0.310, 0.500)
Cu (0.310, 0.810, 0.120)
Cu (0.690, 0.190, 0.880)
Cu (0.810, 0.690, 0.500)

Al4Cu15: computed powder diffraction line list (Cu Ka), based on a PBE-relaxed structure.
Lines closer than 0.1° are merged.

The 6 most intense peaks (10 to 80 degrees two-theta), in order of falling intensity:
- 2θ = 42.96°, I 100.0
- 2θ = 49.77°, I 33.2
- 2θ = 73.67°, I 15.5
- 2θ = 50.56°, I 13.1
- 2θ = 24.29°, I 10.3
- 2θ = 73.03°, I 9.6

Atomic structure:
a = 3.664 Å, b = 3.664 Å, c = 18.053 Å
α = 90.00°, β = 90.00°, γ = 90.00°
Positions (direct):
Al (0.000, 0.000, 0.104)
Al (0.000, 0.000, 0.309)
Al (0.000, 0.000, 0.691)
Al (0.000, 0.000, 0.896)
Cu (0.000, 0.500, 0.000)
Cu (0.000, 0.500, 0.206)
Cu (0.000, 0.500, 0.410)
Cu (0.000, 0.500, 0.590)
Cu (0.000, 0.500, 0.794)
Cu (0.500, 0.000, 0.000)
Cu (0.500, 0.000, 0.206)
Cu (0.500, 0.000, 0.410)
Cu (0.500, 0.000, 0.590)
Cu (0.500, 0.000, 0.794)
Cu (0.500, 0.500, 0.104)
Cu (0.500, 0.500, 0.308)
Cu (0.500, 0.500, 0.500)
Cu (0.500, 0.500, 0.692)
Cu (0.500, 0.500, 0.896)

Dy2Al5Cu5: computed powder diffraction line list (Cu Ka), based on a PBE-relaxed structure.
Lines closer than 0.1° are merged.

The 6 most intense peaks (10 to 80 degrees two-theta), in order of falling intensity:
- 2θ = 40.93°, I 100.0
- 2θ = 34.36°, I 42.5
- 2θ = 21.56°, I 41.3
- 2θ = 29.22°, I 39.7
- 2θ = 40.58°, I 39.5
- 2θ = 33.96°, I 30.6

Atomic structure:
a = 4.122 Å, b = 5.279 Å, c = 9.008 Å
α = 90.00°, β = 90.00°, γ = 90.00°
Positions (direct):
Dy (0.000, 0.000, 0.000)
Dy (0.000, 0.500, 0.500)
Al (0.500, 0.000, 0.500)
Al (0.500, 0.251, 0.239)
Al (0.500, 0.251, 0.761)
Al (0.500, 0.749, 0.239)
Al (0.500, 0.749, 0.761)
Cu (0.000, 0.000, 0.333)
Cu (0.000, 0.000, 0.667)
Cu (0.000, 0.500, 0.166)
Cu (0.000, 0.500, 0.834)
Cu (0.500, 0.500, 0.000)

DyAlCu: computed powder diffraction line list (Cu Ka), based on a PBE-relaxed structure.
Lines closer than 0.1° are merged.

The 6 most intense peaks (10 to 80 degrees two-theta), in order of falling intensity:
- 2θ = 33.41°, I 100.0
- 2θ = 38.91°, I 84.0
- 2θ = 39.82°, I 64.7
- 2θ = 20.19°, I 63.2
- 2θ = 38.77°, I 52.8
- 2θ = 32.73°, I 42.4

Atomic structure:
a = 5.367 Å, b = 5.367 Å, c = 5.367 Å
α = 119.12°, β = 118.70°, γ = 91.90°
Positions (direct):
Dy (0.372, 0.122, 0.250)
Dy (0.628, 0.878, 0.750)
Al (0.000, 0.500, 0.500)
Al (0.500, 0.500, 0.000)
Cu (0.000, 0.000, 0.500)
Cu (0.000, 0.500, 0.000)